This entry pairs a crystal structure of RbMoP2O6 with its theoretical powder diffraction line list. Radiation: Cu Kα. Structure: a structure optimized by DFT (PBE+U).
No peak broadening, texture or thermal motion is included.

Atomic structure:
```
data_RbMoP2O6
_cell_length_a 7.4655
_cell_length_b 7.4655
_cell_length_c 7.4655
_cell_angle_alpha 42.37
_cell_angle_beta 42.37
_cell_angle_gamma 42.37
_space_group_name_H-M_alt 'P 1'
_space_group_IT_number 1
_space_group_name_Hall 'P 1'
loop_
_atom_site_label
_atom_site_type_symbol
_atom_site_fract_x
_atom_site_fract_y
_atom_site_fract_z
Rb1 Rb 0.0000 0.0000 0.0000
Mo1 Mo 0.5000 0.5000 0.5000
P1 P 0.2462 0.2462 0.2462
P2 P 0.7538 0.7538 0.7538
O1 O 0.0750 0.5287 0.7102
O2 O 0.2898 0.9250 0.4713
O3 O 0.4713 0.2898 0.9250
O4 O 0.5287 0.7102 0.0750
O5 O 0.7102 0.0750 0.5287
O6 O 0.9250 0.4713 0.2898
```

Largest 8 diffraction maxima, by angle, 2θ from 10° to 90°:
2θ (°), I/Imax
20.9, 23
25.9, 100
33.2, 29
40.4, 23
42.6, 13
42.8, 16
53.2, 12
55.0, 18